1.
Simulated powder diffractogram
Compound: Li2PmGaSn2
Radiation: λ = 1.5418 Å (Cu Kα)
Structure: the GGA-PBE geometry in Alexandria
Peak positions follow from Bragg's law for the DFT cell and can differ from measured ones.

Structure:
a = 4.473 Å, b = 8.520 Å, c = 7.443 Å
α = 90.00°, β = 90.00°, γ = 90.00°
Space group Pmc2_1 (No. 26)
Inequivalent atoms, fractional coordinates:
Li 0.000 0.084 0.000 (multiplicity 2)
Li 0.500 0.151 0.331 (multiplicity 2)
Pm 0.500 0.452 0.985 (multiplicity 2)
Ga 0.000 0.339 0.665 (multiplicity 2)
Sn 0.000 0.338 0.271 (multiplicity 2)
Sn 0.500 0.156 0.715 (multiplicity 2)

Main lines, by angle (2θ = 10–90°):
2theta  I/Imax
10.38  100
25.48  48
31.39  32
33.03  84
37.51  58
40.32  32



2.
Simulated powder diffractogram
Compound: TiV2OsCl
Radiation: λ = 1.5418 Å (Cu Kα)
Structure: the GGA-PBE geometry in Alexandria
Peak positions follow from Bragg's law for the DFT cell and can differ from measured ones.

Structure:
a = 4.554 Å, b = 4.554 Å, c = 4.348 Å
α = 90.00°, β = 90.00°, γ = 90.00°
Space group P4/mmm (No. 123)
Inequivalent atoms, fractional coordinates:
Ti 0.000 0.000 0.000 (multiplicity 1)
V 0.000 0.500 0.000 (multiplicity 2)
Os 0.500 0.500 0.500 (multiplicity 1)
Cl 0.000 0.000 0.500 (multiplicity 1)

Main lines, by angle (2θ = 10–90°):
2theta  I/Imax
27.70  34
28.38  87
34.66  100
39.58  62
49.41  39
58.72  37



3.
Simulated powder diffractogram
Compound: Ca2HfSi2
Radiation: λ = 1.5418 Å (Cu Kα)
Structure: the GGA-PBE geometry in Alexandria
Peak positions follow from Bragg's law for the DFT cell and can differ from measured ones.

Structure:
a = 7.100 Å, b = 7.100 Å, c = 4.634 Å
α = 90.00°, β = 90.00°, γ = 90.00°
Space group P4/mbm (No. 127)
Inequivalent atoms, fractional coordinates:
Ca 0.175 0.325 0.000 (multiplicity 4)
Hf 0.000 0.000 0.500 (multiplicity 2)
Si 0.123 0.623 0.500 (multiplicity 4)

Main lines, by angle (2θ = 10–90°):
2theta  I/Imax
17.67  63
26.17  84
31.75  100
40.16  59
44.86  42
57.12  45



4.
Simulated powder diffractogram
Compound: KBi2F7
Radiation: λ = 1.5418 Å (Cu Kα)
Structure: the GGA-PBE geometry in Alexandria
Peak positions follow from Bragg's law for the DFT cell and can differ from measured ones.

Structure:
a = 4.163 Å, b = 4.166 Å, c = 11.731 Å
α = 81.75°, β = 81.86°, γ = 60.30°
Space group P1 (No. 1)
Inequivalent atoms, fractional coordinates:
K 0.000 0.000 0.000 (multiplicity 1)
Bi 0.421 0.419 0.700 (multiplicity 1)
Bi 0.577 0.578 0.303 (multiplicity 1)
F 0.073 0.071 0.745 (multiplicity 1)
F 0.265 0.268 0.261 (multiplicity 1)
F 0.367 0.366 0.892 (multiplicity 1)
F 0.488 0.487 0.501 (multiplicity 1)
F 0.632 0.633 0.111 (multiplicity 1)
F 0.760 0.759 0.668 (multiplicity 1)
F 0.912 0.914 0.332 (multiplicity 1)

Main lines, by angle (2θ = 10–90°):
2theta  I/Imax
15.31  100
23.06  59
24.70  73
25.01  65
25.25  68
43.48  63



5.
Simulated powder diffractogram
Compound: NbTeH
Radiation: λ = 1.5418 Å (Cu Kα)
Structure: the GGA-PBE geometry in Alexandria
Peak positions follow from Bragg's law for the DFT cell and can differ from measured ones.

Structure:
a = 3.4401 Å, b = 3.4401 Å, c = 14.2997 Å
α = 90.00°, β = 90.00°, γ = 120.00°
Space group R3m (No. 160, hexagonal axes)
Inequivalent atoms, fractional coordinates:
Nb 0.0000 0.0000 0.0000 (multiplicity 3)
Te 0.0000 0.0000 0.8005 (multiplicity 3)
H 0.0000 0.0000 0.2983 (multiplicity 3)

Main lines, by angle (2θ = 10–90°):
2theta  I/Imax
30.65  100
37.75  20
39.37  51
43.88  56
53.26  32
67.11  21



6.
Simulated powder diffractogram
Compound: Ba6Ga2Hg
Radiation: λ = 1.5418 Å (Cu Kα)
Structure: the GGA-PBE geometry in Alexandria
Peak positions follow from Bragg's law for the DFT cell and can differ from measured ones.

Structure:
a = 11.254 Å, b = 11.580 Å, c = 11.967 Å
α = 90.00°, β = 90.00°, γ = 90.00°
Space group Immm (No. 71)
Inequivalent atoms, fractional coordinates:
Ba 0.000 0.211 0.174 (multiplicity 8)
Ba 0.175 0.240 0.500 (multiplicity 8)
Ba 0.215 0.500 0.254 (multiplicity 8)
Ga 0.000 0.000 0.393 (multiplicity 4)
Ga 0.121 0.000 0.000 (multiplicity 4)
Hg 0.000 0.500 0.000 (multiplicity 2)
Hg 0.000 0.500 0.500 (multiplicity 2)

Main lines, by angle (2θ = 10–90°):
2theta  I/Imax
26.64  100
28.30  29
29.14  28
29.33  31
30.89  31
31.86  18